[1]
Structure and simulated X-ray diffraction stick pattern of Y2CdNi2 (a crystal structure in Alexandria, relaxed with PBE; a wavelength of 1.5418 Å).
No peak broadening, texture or thermal motion is included.

Principal peaks in the range 15 to 90 degrees two-theta, sorted by position:
2θ 29.57, I = 26
2θ 33.82, I = 100
2θ 34.97, I = 66
2θ 38.41, I = 20
2θ 39.16, I = 44
2θ 46.26, I = 25
2θ 46.43, I = 17
2θ 49.05, I = 21
2θ 59.28, I = 27
2θ 64.49, I = 19

Structure:
```
5
Lattice="1.9627 -7.0965 0.0000 1.9627 7.0965 0.0000 0.0000 0.0000 3.7142" Properties=species:S:1:pos:R:3 pbc="T T T"
Y 1.9627 5.1422 0.0000
Y 1.9627 -5.1422 0.0000
Cd 1.9627 0.0000 1.8571
Ni 1.9627 2.8415 1.8571
Ni 1.9627 -2.8415 1.8571
```

[2]
Structure and simulated X-ray diffraction stick pattern of Sm2In2Te7 (a crystal structure in Alexandria, relaxed with PBE; a wavelength of 1.5418 Å).
No peak broadening, texture or thermal motion is included.

Principal peaks in the range 15 to 90 degrees two-theta, sorted by position:
2θ 18.14, I = 100
2θ 19.99, I = 46
2θ 25.64, I = 90
2θ 27.53, I = 53
2θ 29.45, I = 39
2θ 30.94, I = 38
2θ 38.02, I = 53
2θ 38.65, I = 44
2θ 40.64, I = 54
2θ 41.04, I = 52

Structure:
```
11
Lattice="4.6721 -6.7016 0.0000 4.6721 6.7016 0.0000 -2.9151 0.0000 7.1490" Properties=species:S:1:pos:R:3 pbc="T T T"
Sm 4.6721 4.0630 0.0000
Sm 4.6721 -4.0630 0.0000
In 0.4268 0.0000 4.4788
In 6.0022 0.0000 2.6702
Te -0.2900 2.5063 5.4067
Te 0.8261 0.0000 1.6172
Te -0.2900 -2.5063 5.4067
Te 3.2145 0.0000 3.5745
Te 6.7190 2.5063 1.7423
Te 5.6028 0.0000 5.5318
Te 6.7190 -2.5063 1.7423
```

Repeat the first record exactly.
Structure and simulated X-ray diffraction stick pattern of Y2CdNi2 (a crystal structure in Alexandria, relaxed with PBE; a wavelength of 1.5418 Å).
No peak broadening, texture or thermal motion is included.

Principal peaks in the range 15 to 90 degrees two-theta, sorted by position:
2θ 29.57, I = 26
2θ 33.82, I = 100
2θ 34.97, I = 66
2θ 38.41, I = 20
2θ 39.16, I = 44
2θ 46.26, I = 25
2θ 46.43, I = 17
2θ 49.05, I = 21
2θ 59.28, I = 27
2θ 64.49, I = 19

Structure:
```
5
Lattice="1.9627 -7.0965 0.0000 1.9627 7.0965 0.0000 0.0000 0.0000 3.7142" Properties=species:S:1:pos:R:3 pbc="T T T"
Y 1.9627 5.1422 0.0000
Y 1.9627 -5.1422 0.0000
Cd 1.9627 0.0000 1.8571
Ni 1.9627 2.8415 1.8571
Ni 1.9627 -2.8415 1.8571
```